For Cu2Se, the PBE geometry in the Materials Project gives the calculated powder XRD pattern in this record (Cu Kα (λ = 1.5418 Å)).
Kinematic intensities with the Lorentz-polarization factor, no thermal factor.

Cell and atoms:
```
data_Cu2Se
_chemical_formula_sum 'Cu2 Se1'
_cell_length_a 4.285
_cell_length_b 4.285
_cell_length_c 4.285
_cell_angle_alpha 124.49
_cell_angle_beta 83.09
_cell_angle_gamma 123.64
_symmetry_space_group_name_H-M 'P 1'
_symmetry_Int_Tables_number 1
_symmetry_space_group_name_Hall 'P 1'
loop_
_atom_site_label
_atom_site_fract_x
_atom_site_fract_y
_atom_site_fract_z
Cu1 0.208 0.000 0.208
Cu2 0.792 0.000 0.792
Se1 0.136 0.636 0.500
```

Main lines, by angle (2θ from 10° to 90°):
d = 3.423 Å, rel. 65.3
d = 2.842 Å, rel. 38.7
d = 2.127 Å, rel. 100.0
d = 2.023 Å, rel. 14.5
d = 1.996 Å, rel. 29.2
d = 1.885 Å, rel. 32.2
d = 1.724 Å, rel. 17.4
d = 1.711 Å, rel. 17.2